Diffraction record for CoCuO2F. The powder X-ray diffraction pattern is simulated, not measured: it uses DFT lattice parameters and positions (PBE+U) and Cu Kα (weighted mean of Kα1 and Kα2).
Neutral-atom scattering factors, no anomalous dispersion.

Main lines, sorted by position (2θ from 10° to 90°):
d 2.724, 2θ = 32.88°, I 100, (1 0 1); d 2.584, 2θ = 34.72°, I 48, (1 1 0); d 2.044, 2θ = 44.32°, I 28, (0 0 2); d 1.827, 2θ = 49.92°, I 38, (2 0 0); d 1.517, 2θ = 61.07°, I 32, (2 1 1); d 1.362, 2θ = 68.94°, I 25, (2 0 2)

Cell and atoms:
```
data_CoCuO2F
_chemical_formula_sum 'Co1 Cu1 O2 F1'
_space_group_name_H-M_alt 'P 4/m m m'
_space_group_IT_number 123
_space_group_name_Hall '-P 4 2'
_cell_length_a 3.6540
_cell_length_b 3.6540
_cell_length_c 4.0874
_cell_angle_alpha 90.00
_cell_angle_beta 90.00
_cell_angle_gamma 90.00
loop_
_atom_site_label
_atom_site_type_symbol
_atom_site_fract_x
_atom_site_fract_y
_atom_site_fract_z
Co1 Co 0.0000 0.0000 0.0000
Cu1 Cu 0.5000 0.5000 0.5000
O1 O 0.0000 0.5000 0.0000
F1 F 0.0000 0.0000 0.5000
```